LiNi2O4: calculated X-ray diffraction stick pattern (Cu Kα (weighted mean of Kα1 and Kα2)), based on DFT lattice parameters and positions (PBE+U).
Peak positions follow from Bragg's law for the DFT cell and can differ from measured ones.

Peak list (10 most intense, 10° ≤ 2θ ≤ 90°, by angle)
h k l, 2θ (°), d (Å), I_rel
1 1 0, 18.9, 4.685, 100
1 3 -1, 35.8, 2.506, 17
1 1 -2, 37.2, 2.420, 22
3 1 -2, 37.3, 2.413, 8
2 2 0, 38.4, 2.346, 8
2 2 -2, 38.5, 2.339, 8
0 4 0, 43.1, 2.097, 19
0 0 2, 45.4, 1.999, 16
4 0 -2, 45.5, 1.994, 16
4 4 -2, 64.4, 1.446, 21

Atomic structure:
Unit cell a=7.977 b=8.389 c=5.635 alpha=90.00 beta=134.82 gamma=90.00
Space group C2/c (No. 15)
Symmetry-distinct sites (fractional):
Li 0.000 0.137 0.250 (multiplicity 4)
Ni 0.000 0.500 0.000 (multiplicity 4)
Ni 0.250 0.250 0.000 (multiplicity 4)
O 0.001 0.276 0.526 (multiplicity 8)
O 0.220 0.499 0.970 (multiplicity 8)